Record 1
For KZrHOF4, DFT lattice parameters and positions (PBE) gives the simulated powder diffractogram in this record (a wavelength of 1.5418 Å).

Top 8 peaks for 2θ from 10° to 90°, sorted by position:
2theta, d/Å, intensity, index
13.07, 6.776, 100, 0 0 1
18.44, 4.812, 70, 1 0 0
19.11, 4.645, 56, 1 0 -1
24.39, 3.650, 41, 1 1 -1
25.76, 3.459, 37, 1 0 1
30.29, 2.951, 42, 0 2 0
30.42, 2.938, 35, 0 1 2
46.34, 1.959, 43, 2 1 1

```
16
Lattice="5.0505 0.0000 0.0000 0.0000 5.9011 0.0000 -2.1595 0.0000 6.7762" Properties=species:S:1:pos:R:3 pbc="T T T"
K 0.1464 0.0000 2.3421
K 2.7447 2.9505 4.4341
Zr 0.3942 0.2256 6.0039
Zr 2.4968 3.1761 0.7723
H 0.3776 3.1429 2.3308
H 2.5134 0.1923 4.4454
O 1.3117 3.4614 2.3532
O 1.5793 0.5109 4.4230
F -1.0128 5.7989 4.5447
F -1.0716 4.5714 6.6999
F -0.2361 2.2566 5.5829
F 1.5998 1.2715 0.9159
F 1.2912 4.2221 5.8603
F 3.1271 5.2072 1.1933
F 3.9626 1.6208 0.0763
F 3.9039 2.8483 2.2315
```


Record 2
For LuH2PbO2F3, DFT lattice parameters and positions (PBE) gives the simulated powder diffractogram in this record (a wavelength of 1.5418 Å).

Top 8 peaks for 2θ from 10° to 90°, sorted by position:
2theta, d/Å, intensity, index
19.54, 4.543, 100, 1 1 0
26.50, 3.364, 37, 0 1 2
27.45, 3.249, 43, 1 -1 0
31.16, 2.871, 39, 0 2 0
32.56, 2.750, 39, 1 0 2
34.15, 2.626, 28, -1 1 2
34.64, 2.589, 35, 1 1 -2
42.66, 2.120, 26, 2 1 2

```
18
Lattice="5.2108 0.0000 0.0000 2.0131 5.9307 0.0000 0.1263 1.7964 6.9309" Properties=species:S:1:pos:R:3 pbc="T T T"
Lu 1.5639 1.9602 1.2192
Lu 5.7863 5.7670 5.7117
H 2.7576 4.3274 0.4191
H 2.7990 4.9483 4.1768
H 4.5512 2.7789 2.7541
H 4.5926 3.3998 6.5118
Pb 1.5195 2.4159 4.7066
Pb 5.8307 5.3113 2.2243
O 1.8011 4.0392 0.4764
O 1.8339 4.7090 4.2738
O 5.5163 3.0181 2.6571
O 5.5491 3.6879 6.4545
F 2.9303 6.1358 2.0892
F 3.0567 2.3401 2.6288
F 3.1238 3.1136 6.7677
F 4.2264 4.6136 0.1632
F 4.2935 5.3871 4.3021
F 4.4199 1.5913 4.8417
```


Record 3
For ZrH6NOF5, DFT lattice parameters and positions (PBE) gives the simulated powder diffractogram in this record (a wavelength of 1.5418 Å).

Top 8 peaks for 2θ from 10° to 90°, sorted by position:
2theta, d/Å, intensity, index
15.87, 5.586, 100, 0 1 1
20.83, 4.265, 26, 0 0 2
24.09, 3.694, 14, 0 2 0
28.43, 3.139, 13, 2 0 0
29.04, 3.075, 22, 2 0 -2
29.39, 3.039, 16, 2 1 -1
40.87, 2.208, 12, 1 1 3
42.37, 2.133, 15, 0 3 2

```
56
Lattice="6.6724 0.0000 0.0000 0.0000 7.3885 0.0000 -3.0696 0.0000 8.5344" Properties=species:S:1:pos:R:3 pbc="T T T"
Zr 0.0000 1.4474 0.0000
Zr -1.5348 5.9411 4.2672
Zr 3.3029 2.2291 0.9967
Zr 1.7680 5.1594 5.2639
H -1.7110 2.8884 6.1533
H -0.1762 4.5001 1.8861
H -0.8667 2.7786 4.7281
H 0.6681 4.6099 0.4609
H -1.1884 1.3628 5.6669
H 0.3464 6.0256 1.3997
H 0.2989 1.1445 3.3380
H -1.2359 6.2440 7.6052
H -0.1018 2.5768 6.2116
H 1.4330 4.8117 1.9444
H 1.4135 2.3475 3.8552
H -0.1213 5.0410 8.1224
H 1.0931 0.9414 4.8023
H 2.6279 6.4471 0.5351
H 1.9076 0.8155 3.3601
H 0.3728 6.5730 7.6273
H 2.6594 2.1792 6.0857
H 4.1942 5.2092 1.8185
H 2.6622 0.5816 6.1858
H 4.1970 6.8069 1.9186
H 4.2183 3.1191 3.3486
H 2.6835 4.2693 7.6158
H 4.2381 1.5224 3.4481
H 2.7033 5.8661 7.7153
N -0.9590 2.3754 5.6718
N 0.5758 5.0131 1.4046
N 1.1710 1.3384 3.8555
N -0.3638 6.0500 8.1227
O 3.6617 2.3157 3.1755
O 2.1269 5.0728 7.4427
O 3.2258 1.3811 6.3612
O 4.7606 6.0074 2.0940
F -2.6825 3.3500 7.7250
F -1.1477 4.0385 3.4578
F 0.1035 0.3257 1.6405
F -1.4313 7.0628 5.9077
F 1.2833 2.5146 1.4466
F -0.2515 4.8739 5.7138
F -1.0500 1.1683 8.0822
F 0.4848 6.2202 3.8150
F 0.1565 3.3376 7.8775
F 1.6913 4.0509 3.6103
F 2.9039 0.3343 1.8130
F 1.3691 7.0541 6.0802
F 1.6888 3.1655 5.8759
F 3.2236 4.2230 1.6087
F 1.5205 0.8811 8.4524
F 3.0553 6.5074 4.1852
F 5.3879 2.7812 1.1006
F 3.8531 4.6072 5.3678
F 5.2193 0.5418 3.6286
F 3.6844 6.8467 7.8958
```


Record 4
For H8PtN2F6, DFT lattice parameters and positions (PBE) gives the simulated powder diffractogram in this record (a wavelength of 1.5418 Å).

Top 8 peaks for 2θ from 10° to 90°, sorted by position:
2theta, d/Å, intensity, index
17.94, 4.945, 100, 1 0 0
19.51, 4.551, 26, 0 0 1
26.62, 3.349, 83, 0 1 1
31.33, 2.855, 24, 1 1 0
37.17, 2.419, 30, 1 1 1
41.57, 2.173, 33, 0 2 1
43.79, 2.067, 19, 0 1 2
52.96, 1.729, 25, 1 2 1

```
17
Lattice="5.7102 0.0000 0.0000 -2.8551 4.9452 0.0000 0.0000 0.0000 4.5510" Properties=species:S:1:pos:R:3 pbc="T T T"
H 0.0000 2.3362 0.5613
H -0.8319 3.7771 0.5613
H 0.0000 3.2968 1.9557
H 2.0232 1.1681 3.9897
H 0.8319 3.7771 0.5613
H 2.8551 1.6484 2.5953
H 3.6870 1.1681 3.9897
H 2.8551 2.6089 3.9897
Pt 0.0000 0.0000 2.2755
N 0.0000 3.2968 0.9291
N 2.8551 1.6484 3.6220
F 0.0000 1.6378 3.3514
F -1.4367 4.1263 3.3514
F 1.4184 0.8189 1.1996
F 1.4367 4.1263 3.3514
F 4.2918 0.8189 1.1996
F 2.8551 3.3074 1.1996
```


Record 5
For ReH8N2F6, DFT lattice parameters and positions (PBE) gives the simulated powder diffractogram in this record (a wavelength of 1.5418 Å).

Top 8 peaks for 2θ from 10° to 90°, sorted by position:
2theta, d/Å, intensity, index
17.81, 4.980, 100, 1 0 0
19.55, 4.541, 25, 0 0 1
26.56, 3.356, 81, 0 1 1
31.10, 2.875, 23, 1 1 0
37.00, 2.429, 29, 1 1 1
41.35, 2.183, 34, 0 2 1
52.63, 1.739, 24, 1 2 1
54.71, 1.678, 18, 0 2 2

```
17
Lattice="5.7509 0.0000 0.0000 -2.8754 4.9804 0.0000 0.0000 0.0000 4.5411" Properties=species:S:1:pos:R:3 pbc="T T T"
Re 0.0000 0.0000 0.0000
H 0.0000 2.3618 2.8343
H -0.8300 3.7995 2.8343
H 0.0000 3.3203 4.2321
H 2.0454 1.1809 1.7068
H 0.8300 3.7995 2.8343
H 2.8754 1.6601 0.3090
H 3.7054 1.1809 1.7068
H 2.8754 2.6185 1.7068
N 0.0000 3.3203 3.2063
N 2.8754 1.6601 1.3349
F 0.0000 1.6433 1.0814
F -1.4523 4.1588 1.0814
F 1.4231 0.8216 3.4597
F 1.4523 4.1588 1.0814
F 4.3277 0.8216 3.4597
F 2.8754 3.3371 3.4597
```